Diffraction record for Ce3SiN5. The PXRD pattern is computed, not measured: it uses DFT lattice parameters and positions (PBE) and Cu Kα X-rays.
Intensities are scaled so that the largest is 100.

Main lines, by angle (2θ from 5° to 70°):
2θ = 25.0°, rel. 34; 2θ = 31.4°, rel. 56; 2θ = 31.6°, rel. 100; 2θ = 32.5°, rel. 38; 2θ = 38.6°, rel. 24; 2θ = 39.2°, rel. 58; 2θ = 43.3°, rel. 29; 2θ = 51.3°, rel. 20; 2θ = 55.2°, rel. 19; 2θ = 57.5°, rel. 20

Cell and atoms:
a b c (Å): 6.6012 6.6012 11.0104
angles (deg): 90.00 90.00 90.00
Space group I4/mcm (No. 140)
Inequivalent atoms, fractional coordinates:
Ce (0.0000, 0.0000, 0.2500)
Ce (0.1787, 0.3213, 0.0000)
Si (0.0000, 0.5000, 0.2500)
N (0.0000, 0.0000, 0.0000)
N (0.1441, 0.3559, 0.3520)